Record 1
# Pm2CuS2O2
Calculated XRD peak list, a wavelength of 1.5418 Å. Input: the GGA-PBE geometry in Alexandria.
No peak broadening, texture or thermal motion is included.

abc: 3.945 3.945 10.909
angles: 90.00 90.00 120.00
Sites, in units of the cell vectors:
Pm 0.333 0.667 0.137
Pm 0.667 0.333 0.863
Cu 0.000 0.000 0.500
S 0.000 0.000 0.308
S 0.000 0.000 0.692
O 0.333 0.667 0.919
O 0.667 0.333 0.081

Largest 10 diffraction maxima, most intense first, 2θ = 10–80°:
2θ/deg	intensity
27.35	100
30.88	51
46.01	34
42.41	25
24.48	19
49.57	17
36.07	16
52.80	15
54.36	14
73.90	11

Record 2
# PaAu3I9
Calculated XRD peak list, a wavelength of 1.5418 Å. Input: the GGA-PBE geometry in Alexandria.
No peak broadening, texture or thermal motion is included.

abc: 11.575 11.575 14.786
angles: 123.38 123.38 57.17
Sites, in units of the cell vectors:
Pa 0.217 0.783 0.500
Pa 0.783 0.217 0.000
Au 0.119 0.532 0.854
Au 0.151 0.657 0.643
Au 0.532 0.119 0.354
Au 0.657 0.151 0.143
Au 0.695 0.783 0.455
Au 0.783 0.695 0.955
I 0.076 0.199 0.058
I 0.199 0.076 0.558
I 0.212 0.908 0.741
I 0.224 0.677 0.273
I 0.226 0.484 0.446
I 0.283 0.618 0.853
I 0.445 0.956 0.355
I 0.484 0.226 0.946
I 0.539 0.680 0.605
I 0.596 0.902 0.057
I 0.618 0.283 0.353
I 0.677 0.224 0.773
I 0.680 0.539 0.105
I 0.865 0.897 0.905
I 0.897 0.865 0.405
I 0.902 0.596 0.557
I 0.908 0.212 0.241
I 0.956 0.445 0.855

Largest 10 diffraction maxima, most intense first, 2θ = 10–80°:
2θ/deg	intensity
14.43	100
31.49	32
33.23	31
19.56	30
23.41	28
37.66	26
16.01	25
32.19	25
24.40	23
10.01	21

Record 3
# CaCdSi2
Calculated XRD peak list, a wavelength of 1.5418 Å. Input: the GGA-PBE geometry in Alexandria.
No peak broadening, texture or thermal motion is included.

abc: 13.897 4.494 11.119
angles: 90.00 90.00 90.00
Sites, in units of the cell vectors:
Ca 0.050 0.250 0.240
Ca 0.191 0.750 0.967
Ca 0.309 0.250 0.467
Ca 0.450 0.750 0.740
Ca 0.550 0.250 0.260
Ca 0.691 0.750 0.533
Ca 0.809 0.250 0.033
Ca 0.950 0.750 0.760
Cd 0.062 0.250 0.557
Cd 0.220 0.750 0.664
Cd 0.280 0.250 0.164
Cd 0.438 0.750 0.057
Cd 0.562 0.250 0.943
Cd 0.720 0.750 0.836
Cd 0.780 0.250 0.336
Cd 0.938 0.750 0.443
Si 0.026 0.250 0.972
Si 0.108 0.250 0.789
Si 0.136 0.750 0.451
Si 0.216 0.750 0.267
Si 0.284 0.250 0.767
Si 0.364 0.250 0.951
Si 0.392 0.750 0.289
Si 0.474 0.750 0.472
Si 0.526 0.250 0.528
Si 0.608 0.250 0.711
Si 0.636 0.750 0.049
Si 0.716 0.750 0.233
Si 0.784 0.250 0.733
Si 0.864 0.250 0.549
Si 0.892 0.750 0.211
Si 0.974 0.750 0.028

Largest 10 diffraction maxima, most intense first, 2θ = 10–80°:
2θ/deg	intensity
32.58	100
10.19	76
31.96	57
40.13	46
33.90	41
45.50	33
17.18	29
20.46	25
28.82	23
38.63	22

Record 4
# Li3GeO3
Calculated XRD peak list, a wavelength of 1.5418 Å. Input: the GGA-PBE geometry in Alexandria.
No peak broadening, texture or thermal motion is included.

abc: 6.813 6.813 4.060
angles: 90.00 90.00 120.00
Sites, in units of the cell vectors:
Li 0.159 0.317 0.250
Li 0.159 0.841 0.250
Li 0.317 0.159 0.750
Li 0.683 0.841 0.250
Li 0.841 0.159 0.750
Li 0.841 0.683 0.750
Ge 0.333 0.667 0.750
Ge 0.667 0.333 0.250
O 0.183 0.365 0.750
O 0.183 0.817 0.750
O 0.365 0.183 0.250
O 0.635 0.817 0.750
O 0.817 0.183 0.250
O 0.817 0.635 0.250

Largest 10 diffraction maxima, most intense first, 2θ = 10–80°:
2θ/deg	intensity
26.65	100
46.46	30
15.02	29
30.30	28
26.16	24
53.83	18
61.06	15
72.44	13
44.64	12
73.79	11